Starting from a cell relaxed with GGA-PBE, the powder X-ray diffraction pattern of Li2Al2Si4HO14 was computed for Cu Kα X-rays.
Kinematic intensities with the Lorentz-polarization factor, no thermal factor.

Top 10 peaks for 10° ≤ 2θ ≤ 80°, in order of falling intensity:
- hkl 1 0 1, 21.0 deg, 4.230 Å, rel. 100
- hkl 0 2 0, 25.4 deg, 3.509 Å, rel. 68
- hkl 0 2 2, 26.1 deg, 3.418 Å, rel. 54
- hkl 2 0 0, 35.9 deg, 2.501 Å, rel. 43
- hkl 0 0 1, 11.2 deg, 7.925 Å, rel. 35
- hkl 1 1 -1, 26.9 deg, 3.315 Å, rel. 30
- hkl 0 1 0, 12.6 deg, 7.018 Å, rel. 25
- hkl 0 1 -1, 20.1 deg, 4.426 Å, rel. 23
- hkl 1 0 2, 28.7 deg, 3.106 Å, rel. 22
- hkl 1 -1 2, 35.2 deg, 2.551 Å, rel. 14

Cell and atoms:
a b c (Å): 5.002 7.703 8.698
angles (deg): 65.66 89.74 89.77
Fractional coordinates of all 23 atoms:
1 Li 0.000 0.000 0.000
2 Li 0.498 0.727 0.608
3 Al 0.504 0.978 0.191
4 Al 0.988 0.948 0.675
5 Si 0.003 0.788 0.400
6 Si 0.058 0.379 0.401
7 Si 0.488 0.821 0.912
8 Si 0.561 0.398 0.182
9 H 0.729 0.385 0.691
10 O 0.039 0.294 0.911
11 O 0.050 0.560 0.453
12 O 0.126 0.830 0.556
13 O 0.162 0.914 0.224
14 O 0.186 0.904 0.855
15 O 0.364 0.353 0.345
16 O 0.464 0.592 0.027
17 O 0.553 0.223 0.125
18 O 0.561 0.440 0.710
19 O 0.624 0.926 0.022
20 O 0.667 0.852 0.745
21 O 0.683 0.840 0.378
22 O 0.865 0.425 0.237
23 O 0.962 0.194 0.563